(1)
# Rb5GeO4F2
Simulated XRD peak list, Cu Kα X-rays. Input: a crystal structure in Alexandria, relaxed with PBE.
Intensities are scaled so that the largest is 100.

Peak list (10 most intense, 2θ from 5° to 70°, by angle)
| Position (°2θ) | d_spacing | intensity | hkl |
| --- | --- | --- | --- |
| 26.72 | 3.336 | 47 | 0 0 2 |
| 27.45 | 3.249 | 86 | 2 1 1 |
| 28.19 | 3.166 | 47 | 2 2 0 |
| 28.92 | 3.087 | 100 | 0 3 1 |
| 39.23 | 2.296 | 67 | 2 2 2 |
| 45.57 | 1.991 | 19 | 4 0 0 |
| 48.57 | 1.874 | 23 | 0 3 3 |
| 51.24 | 1.783 | 32 | 2 5 1 |
| 54.89 | 1.673 | 26 | 4 3 1 |
| 65.64 | 1.422 | 17 | 2 5 3 |

Structure:
```
data_Rb5GeO4F2
_chemical_formula_sum 'Rb10 Ge2 O8 F4'
_symmetry_space_group_name_H-M 'A m m 2'
_symmetry_Int_Tables_number 38
_cell_length_a 7.961
_cell_length_b 10.448
_cell_length_c 6.671
_cell_angle_alpha 90.00
_cell_angle_beta 90.00
_cell_angle_gamma 90.00
loop_
_symmetry_equiv_pos_as_xyz
'x,y,z'
'-x,-y,z'
'-x,y,z'
'x,-y,z'
'x,y+1/2,z+1/2'
'-x,-y+1/2,z+1/2'
'-x,y+1/2,z+1/2'
'x,-y+1/2,z+1/2'
loop_
_atom_site_label
_atom_site_fract_x
_atom_site_fract_y
_atom_site_fract_z
Rb1 0.000 0.000 0.000
Rb2 0.265 0.184 0.484
Ge1 0.500 0.000 0.987
O1 0.324 0.000 0.155
O2 0.500 0.135 0.824
F1 0.000 0.212 0.749
```

=====

(2)
# Y6Ge2O13F3
Simulated XRD peak list, Cu Kα X-rays. Input: a crystal structure in Alexandria, relaxed with PBE.
Intensities are scaled so that the largest is 100.

Peak list (10 most intense, 2θ from 5° to 70°, by angle)
| Position (°2θ) | d_spacing | intensity | hkl |
| --- | --- | --- | --- |
| 15.24 | 5.815 | 48 | 0 1 0 |
| 25.73 | 3.462 | 40 | 1 1 2 |
| 26.39 | 3.378 | 36 | 1 1 -2 |
| 27.28 | 3.270 | 49 | 1 -1 1 |
| 30.82 | 2.901 | 37 | 1 2 0 |
| 31.19 | 2.868 | 100 | 1 -1 2 |
| 34.32 | 2.613 | 28 | 2 0 0 |
| 34.67 | 2.587 | 32 | 0 0 4 |
| 49.97 | 1.825 | 32 | 0 3 2 |
| 53.13 | 1.724 | 27 | 2 3 2 |

Structure:
```
data_Y6Ge2O13F3
_chemical_formula_sum 'Y6 Ge2 O13 F3'
_symmetry_space_group_name_H-M 'P 1'
_symmetry_Int_Tables_number 1
_cell_length_a 5.434
_cell_length_b 6.047
_cell_length_c 10.352
_cell_angle_alpha 88.79
_cell_angle_beta 88.91
_cell_angle_gamma 74.10
loop_
_symmetry_equiv_pos_as_xyz
'x,y,z'
loop_
_atom_site_label
_atom_site_fract_x
_atom_site_fract_y
_atom_site_fract_z
Y1 0.000 0.000 0.000
Y2 0.006 0.992 0.408
Y3 0.103 0.480 0.211
Y4 0.537 0.097 0.708
Y5 0.627 0.587 0.509
Y6 0.639 0.595 0.920
Ge1 0.130 0.773 0.704
Ge2 0.512 0.807 0.213
O1 0.303 0.911 0.581
O2 0.316 0.886 0.831
O3 0.318 0.480 0.678
O4 0.329 0.693 0.088
O5 0.330 0.676 0.337
O6 0.344 0.107 0.224
O7 0.618 0.233 0.911
O8 0.741 0.396 0.722
O9 0.775 0.749 0.331
O10 0.778 0.757 0.091
O11 0.860 0.822 0.587
O12 0.875 0.817 0.827
O13 0.919 0.166 0.205
F1 0.028 0.357 0.434
F2 0.053 0.361 0.986
F3 0.615 0.221 0.485
```